Theoretical powder X-ray diffraction pattern of BaTb2O4 for CuKα, from a structure optimized by DFT (PBE).
Kinematic intensities with the Lorentz-polarization factor, no thermal factor.

Most intense lines, 10° ≤ 2θ ≤ 80°, sorted by position:
Position (°2θ)	I (rel.)	hkl
29.12	465	0 0 4
29.29	987	3 0 2
30.60	1000	1 1 2
34.78	176	1 1 3
42.78	287	2 1 4
42.94	197	4 1 0
51.73	153	3 0 6
52.22	151	0 2 0
52.55	143	1 1 6
52.72	193	4 1 4
52.83	145	5 1 2
61.01	288	3 2 2

Atomic structure:
abc: 10.543 3.504 12.267
angles: 90.00 90.00 90.00
Space group Pnma (No. 62)
Unique sites:
1 Ba 0.247 0.250 0.149 (multiplicity 4)
2 Tb 0.074 0.250 0.389 (multiplicity 4)
3 Tb 0.078 0.250 0.890 (multiplicity 4)
4 O 0.019 0.750 0.783 (multiplicity 4)
5 O 0.071 0.250 0.574 (multiplicity 4)
6 O 0.116 0.750 0.018 (multiplicity 4)
7 O 0.209 0.750 0.340 (multiplicity 4)

Theoretical powder X-ray diffraction pattern of KCrCl3 for CuKα, from a structure optimized by DFT (PBE).
Kinematic intensities with the Lorentz-polarization factor, no thermal factor.

Most intense lines, 10° ≤ 2θ ≤ 80°, sorted by position:
Position (°2θ)	I (rel.)	hkl
17.87	399	0 1 2
25.30	231	1 1 0
25.44	275	1 0 4
29.83	149	1 1 3
31.14	301	2 0 2
31.38	124	0 0 6
36.19	1000	0 2 4
40.73	111	1 1 6
44.63	229	3 0 0
51.95	249	2 2 0
52.26	299	2 0 8
64.95	105	4 0 4

Atomic structure:
abc: 7.0408 7.0408 17.1030
angles: 90.00 90.00 120.00
Space group R3c (No. 161, hexagonal axes)
Unique sites:
1 K 0.0000 0.0000 0.0000 (multiplicity 6)
2 Cr 0.0000 0.0000 0.2560 (multiplicity 6)
3 Cl 0.0003 0.4556 0.0063 (multiplicity 18)